Simulated X-ray diffraction stick pattern
Compound: BaPaInO5
Radiation: a wavelength of 1.5418 Å
Structure: DFT lattice parameters and positions (GGA-PBE)

Main lines, by angle (2θ = 15–90°):
Position (°2θ)	d [Å]	Rel. int.
15.3	5.781	36.6
23.4	3.799	100.0
25.5	3.488	74.7
28.9	3.088	94.7
29.4	3.039	63.0
32.0	2.799	37.3

Crystal structure
a = 6.429 Å, b = 6.429 Å, c = 8.250 Å
α = 104.19°, β = 104.19°, γ = 106.92°
Element x y z (fractional)
Ba: 0.173 0.827 0.750
Ba: 0.827 0.173 0.250
Pa: 0.500 0.500 0.000
Pa: 0.500 0.500 0.500
In: 0.185 0.815 0.250
In: 0.815 0.185 0.750
O: 0.150 0.253 0.909
O: 0.204 0.607 0.405
O: 0.253 0.150 0.409
O: 0.393 0.796 0.095
O: 0.434 0.566 0.750
O: 0.566 0.434 0.250
O: 0.607 0.204 0.905
O: 0.747 0.850 0.591
O: 0.796 0.393 0.595
O: 0.850 0.747 0.091



Simulated X-ray diffraction stick pattern
Compound: Ba2In2Sb2O
Radiation: a wavelength of 1.5418 Å
Structure: DFT lattice parameters and positions (GGA-PBE)

Main lines, by angle (2θ = 15–90°):
Position (°2θ)	d [Å]	Rel. int.
27.7	3.215	39.9
29.0	3.084	89.3
29.6	3.020	40.6
29.9	2.988	100.0
32.8	2.731	87.9
35.2	2.550	30.1

Crystal structure
a = 3.769 Å, b = 7.845 Å, c = 7.927 Å
α = 104.70°, β = 90.11°, γ = 103.76°
Element x y z (fractional)
Ba: 0.019 0.038 0.286
Ba: 0.981 0.962 0.714
In: 0.279 0.561 0.326
In: 0.721 0.439 0.674
Sb: 0.346 0.683 0.967
Sb: 0.654 0.317 0.033
O: 0.500 0.000 0.500



Simulated X-ray diffraction stick pattern
Compound: BaSr2ScInO6
Radiation: a wavelength of 1.5418 Å
Structure: DFT lattice parameters and positions (GGA-PBE)

Main lines, by angle (2θ = 15–90°):
Position (°2θ)	d [Å]	Rel. int.
30.4	2.942	100.0
43.5	2.079	22.8
54.0	1.699	33.6
63.2	1.471	13.5
71.8	1.315	11.6
87.8	1.112	11.0

Crystal structure
a = 10.829 Å, b = 10.829 Å, c = 10.829 Å
α = 157.87°, β = 157.87°, γ = 31.50°
Element x y z (fractional)
Ba: 0.000 0.000 0.000
Sr: 0.179 0.179 0.000
Sr: 0.363 0.363 0.000
Sc: 0.581 0.581 0.000
In: 0.779 0.779 0.000
O: 0.101 0.601 0.500
O: 0.260 0.760 0.500
O: 0.485 0.485 0.000
O: 0.601 0.101 0.500
O: 0.760 0.260 0.500
O: 0.879 0.879 0.000



Simulated X-ray diffraction stick pattern
Compound: BaSr2In2O6
Radiation: a wavelength of 1.5418 Å
Structure: DFT lattice parameters and positions (GGA-PBE)

Main lines, by angle (2θ = 15–90°):
Position (°2θ)	d [Å]	Rel. int.
30.1	2.966	100.0
43.2	2.095	21.0
53.5	1.712	35.7
62.7	1.483	13.6
71.1	1.325	11.6
87.0	1.120	11.8

Crystal structure
a = 10.914 Å, b = 10.914 Å, c = 10.914 Å
α = 157.86°, β = 157.86°, γ = 31.51°
Element x y z (fractional)
Ba: 0.000 0.000 0.000
Sr: 0.184 0.184 0.000
Sr: 0.365 0.365 0.000
In: 0.584 0.584 0.000
In: 0.781 0.781 0.000
O: 0.105 0.605 0.500
O: 0.263 0.763 0.500
O: 0.482 0.482 0.000
O: 0.605 0.105 0.500
O: 0.763 0.263 0.500
O: 0.881 0.881 0.000



Simulated X-ray diffraction stick pattern
Compound: BaSr2In6O12
Radiation: a wavelength of 1.5418 Å
Structure: DFT lattice parameters and positions (GGA-PBE)

Main lines, by angle (2θ = 15–90°):
Position (°2θ)	d [Å]	Rel. int.
30.6	2.922	100.0
32.0	2.798	65.5
38.2	2.359	21.7
44.8	2.021	33.7
55.3	1.662	32.3
63.9	1.456	24.0

Crystal structure
a = 10.123 Å, b = 10.123 Å, c = 3.358 Å
α = 90.00°, β = 90.00°, γ = 120.00°
Element x y z (fractional)
Ba: 0.000 0.000 0.000
Sr: 0.333 0.667 0.500
Sr: 0.667 0.333 0.000
In: 0.001 0.350 0.500
In: 0.349 0.999 0.500
In: 0.350 0.349 0.000
In: 0.650 0.651 0.500
In: 0.651 0.002 0.000
In: 0.998 0.650 0.000
O: 0.103 0.818 0.500
O: 0.126 0.524 0.000
O: 0.182 0.285 0.500
O: 0.311 0.114 0.000
O: 0.398 0.874 0.000
O: 0.476 0.602 0.000
O: 0.521 0.398 0.500
O: 0.602 0.122 0.500
O: 0.715 0.897 0.500
O: 0.803 0.689 0.000
O: 0.878 0.479 0.500
O: 0.886 0.197 0.000